[1]
Starting from a crystal structure in the Materials Project, relaxed with PBE, the powder X-ray diffraction pattern of Y3MnB7 was calculated for Cu Kα, 1.54184 Å.

Structure:
a = 8.0619 Å, b = 8.0619 Å, c = 9.3254 Å
α = 90.00°, β = 90.00°, γ = 155.35°
Positions (direct):
Y 0.1041 0.8959 0.5597
Y 0.1041 0.8959 0.9403
Y 0.2407 0.7593 0.2500
Y 0.7593 0.2407 0.7500
Y 0.8959 0.1041 0.0597
Y 0.8959 0.1041 0.4403
Mn 0.0535 0.9465 0.2500
Mn 0.9465 0.0535 0.7500
B 0.2727 0.7273 0.5327
B 0.2727 0.7273 0.9673
B 0.3702 0.6298 0.6531
B 0.3702 0.6298 0.8469
B 0.4598 0.5402 0.2500
B 0.4784 0.5216 0.5985
B 0.4784 0.5216 0.9015
B 0.5216 0.4784 0.0985
B 0.5216 0.4784 0.4015
B 0.5402 0.4598 0.7500
B 0.6298 0.3702 0.1531
B 0.6298 0.3702 0.3469
B 0.7273 0.2727 0.0327
B 0.7273 0.2727 0.4673

Most intense lines, 2θ from 10° to 90°, by intensity:
39.5 deg, I 100; 29.7 deg, I 84; 26.5 deg, I 77; 30.9 deg, I 70; 40.0 deg, I 49; 34.2 deg, I 41; 43.5 deg, I 41; 32.6 deg, I 39


[2]
Starting from a crystal structure in the Materials Project, relaxed with PBE, the powder X-ray diffraction pattern of Sr2EuBeO5 was calculated for Cu Kα, 1.54184 Å.

Structure:
a = 9.7285 Å, b = 7.3825 Å, c = 6.7120 Å
α = 90.00°, β = 90.00°, γ = 90.00°
Positions (direct):
Sr 0.1729 0.0225 0.0888
Sr 0.1729 0.4775 0.0888
Sr 0.3271 0.5225 0.5888
Sr 0.3271 0.9775 0.5888
Sr 0.6729 0.0225 0.4112
Sr 0.6729 0.4775 0.4112
Sr 0.8271 0.5225 0.9112
Sr 0.8271 0.9775 0.9112
Eu 0.0223 0.2500 0.5826
Eu 0.4777 0.7500 0.0826
Eu 0.5223 0.2500 0.9174
Eu 0.9777 0.7500 0.4174
Be 0.1020 0.7500 0.8142
Be 0.3980 0.2500 0.3142
Be 0.6020 0.7500 0.6858
Be 0.8980 0.2500 0.1858
O 0.0103 0.7500 0.0227
O 0.0654 0.5633 0.6867
O 0.0654 0.9367 0.6867
O 0.2077 0.7500 0.3378
O 0.2283 0.2500 0.3763
O 0.2717 0.7500 0.8763
O 0.2923 0.2500 0.8378
O 0.4346 0.0633 0.1867
O 0.4346 0.4367 0.1867
O 0.4897 0.2500 0.5227
O 0.5103 0.7500 0.4773
O 0.5654 0.5633 0.8133
O 0.5654 0.9367 0.8133
O 0.7077 0.7500 0.1621
O 0.7283 0.2500 0.1237
O 0.7717 0.7500 0.6237
O 0.7923 0.2500 0.6622
O 0.9346 0.0633 0.3133
O 0.9346 0.4367 0.3133
O 0.9897 0.2500 0.9773

Most intense lines, 2θ from 10° to 90°, by intensity:
30.6 deg, I 100; 29.1 deg, I 72; 30.4 deg, I 49; 37.4 deg, I 30; 28.1 deg, I 23; 44.6 deg, I 23; 46.3 deg, I 21; 40.8 deg, I 21


[3]
Starting from a crystal structure in the Materials Project, relaxed with PBE, the powder X-ray diffraction pattern of MgTi2 was calculated for Cu Kα, 1.54184 Å.

Structure:
a = 8.0895 Å, b = 8.0895 Å, c = 4.8718 Å
α = 90.00°, β = 90.00°, γ = 159.29°
Positions (direct):
Mg 0.0528 0.9472 0.7500
Mg 0.9472 0.0528 0.2500
Ti 0.2748 0.7252 0.2500
Ti 0.3731 0.6269 0.7500
Ti 0.6269 0.3731 0.2500
Ti 0.7252 0.2748 0.7500

Most intense lines, 2θ from 10° to 90°, by intensity:
39.9 deg, I 100; 38.6 deg, I 75; 36.9 deg, I 50; 11.1 deg, I 48; 35.2 deg, I 39; 51.9 deg, I 23; 68.5 deg, I 18; 77.4 deg, I 16


[4]
Starting from a crystal structure in the Materials Project, relaxed with PBE, the powder X-ray diffraction pattern of Ca3Mg was calculated for Cu Kα, 1.54184 Å.

Structure:
a = 7.1863 Å, b = 7.1863 Å, c = 7.1863 Å
α = 149.79°, β = 62.26°, γ = 126.96°
Positions (direct):
Ca 0.0000 0.0000 0.0000
Ca 0.1231 0.3577 0.7654
Ca 0.5922 0.3577 0.2346
Mg 0.5155 0.0155 0.5000

Most intense lines, 2θ from 10° to 90°, by intensity:
31.2 deg, I 100; 31.4 deg, I 40; 29.0 deg, I 36; 27.6 deg, I 19; 52.9 deg, I 19; 58.0 deg, I 17; 27.8 deg, I 16; 49.0 deg, I 16


[5]
Starting from a crystal structure in the Materials Project, relaxed with PBE, the powder X-ray diffraction pattern of Zn10Pd3 was calculated for Cu Kα, 1.54184 Å.

Structure:
a = 7.9510 Å, b = 7.9510 Å, c = 7.8159 Å
α = 108.53°, β = 108.53°, γ = 110.13°
Positions (direct):
Zn 0.0000 0.0000 0.0000
Zn 0.0423 0.4246 0.7624
Zn 0.0436 0.7668 0.4271
Zn 0.1183 0.1183 0.4056
Zn 0.1236 0.7727 0.1293
Zn 0.1300 0.1300 0.7711
Zn 0.1325 0.4014 0.1298
Zn 0.1585 0.5150 0.5075
Zn 0.4014 0.1325 0.1298
Zn 0.4187 0.4187 0.7846
Zn 0.4234 0.7688 0.0554
Zn 0.4246 0.0423 0.7624
Zn 0.5072 0.5072 0.1691
Zn 0.5150 0.1585 0.5075
Zn 0.5546 0.7736 0.7716
Zn 0.7668 0.0436 0.4271
Zn 0.7688 0.4234 0.0554
Zn 0.7687 0.7687 0.5594
Zn 0.7727 0.1236 0.1293
Zn 0.7736 0.5546 0.7716
Pd 0.1339 0.7891 0.7929
Pd 0.4110 0.7777 0.4115
Pd 0.4177 0.4177 0.4367
Pd 0.7755 0.7755 0.1220
Pd 0.7777 0.4110 0.4115
Pd 0.7891 0.1339 0.7929

Most intense lines, 2θ from 10° to 90°, by intensity:
41.4 deg, I 100; 42.4 deg, I 59; 41.6 deg, I 41; 41.7 deg, I 29; 42.1 deg, I 17; 42.0 deg, I 17; 41.8 deg, I 15; 60.3 deg, I 15


[6]
Starting from a crystal structure in the Materials Project, relaxed with PBE, the powder X-ray diffraction pattern of CaTcO3 was calculated for Cu Kα, 1.54184 Å.

Structure:
a = 5.6199 Å, b = 7.7772 Å, c = 5.4416 Å
α = 90.00°, β = 90.00°, γ = 90.00°
Positions (direct):
Ca 0.0519 0.2500 0.0117
Ca 0.4481 0.7500 0.5117
Ca 0.5519 0.2500 0.4883
Ca 0.9481 0.7500 0.9883
Tc 0.0000 0.0000 0.5000
Tc 0.0000 0.5000 0.5000
Tc 0.5000 0.0000 0.0000
Tc 0.5000 0.5000 0.0000
O 0.0307 0.7500 0.4083
O 0.2038 0.5479 0.8005
O 0.2038 0.9521 0.8005
O 0.2962 0.0479 0.3005
O 0.2962 0.4521 0.3005
O 0.4693 0.2500 0.9083
O 0.5307 0.7500 0.0917
O 0.7038 0.5479 0.6995
O 0.7038 0.9521 0.6995
O 0.7962 0.0479 0.1995
O 0.7962 0.4521 0.1995
O 0.9693 0.2500 0.5917

Most intense lines, 2θ from 10° to 90°, by intensity:
32.5 deg, I 100; 22.7 deg, I 42; 46.5 deg, I 30; 31.8 deg, I 25; 58.5 deg, I 24; 32.9 deg, I 23; 22.9 deg, I 19; 57.1 deg, I 18


[7]
Starting from a crystal structure in the Materials Project, relaxed with PBE, the powder X-ray diffraction pattern of Mg6ZrB was calculated for Cu Kα, 1.54184 Å.

Structure:
a = 4.5795 Å, b = 6.8358 Å, c = 6.8358 Å
α = 47.82°, β = 90.00°, γ = 90.00°
Positions (direct):
Mg 0.0000 0.0000 0.0000
Mg 0.0000 0.4402 0.4402
Mg 0.0000 0.4820 0.9866
Mg 0.0000 0.9866 0.4820
Mg 0.5000 0.3484 0.8438
Mg 0.5000 0.8438 0.3484
Zr 0.5000 0.8437 0.8437
B 0.5000 0.2953 0.2953

Most intense lines, 2θ from 10° to 90°, by intensity:
34.8 deg, I 100; 40.7 deg, I 85; 26.2 deg, I 66; 17.5 deg, I 61; 35.4 deg, I 50; 33.3 deg, I 50; 54.0 deg, I 46; 39.4 deg, I 42